Diffraction record for Nd2VPbO6. The X-ray diffraction stick pattern is theoretical, not measured: it uses a crystal structure in Alexandria, relaxed with GGA+U and Cu Kα X-rays.
Neutral-atom scattering factors, no anomalous dispersion.

Structural model:
```
data_Nd2VPbO6
_space_group_name_H-M_alt 'P 4 m m'
_space_group_IT_number 99
_cell_length_a 5.5240
_cell_length_b 5.5240
_cell_length_c 5.5308
_cell_angle_alpha 90.00
_cell_angle_beta 90.00
_cell_angle_gamma 90.00
loop_
_space_group_symop_operation_xyz
'x,y,z'
'-y,x,z'
'-x,-y,z'
'y,-x,z'
'-x,y,z'
'y,x,z'
'x,-y,z'
'-y,-x,z'
loop_
_atom_site_label
_atom_site_fract_x
_atom_site_fract_y
_atom_site_fract_z
_atom_site_occupancy
Nd1 0.0000 0.5000 0.0000 1
V1 0.0000 0.0000 0.6295 1
Pb1 0.5000 0.5000 0.5567 1
O1 0.0000 0.0000 0.3093 1
O2 0.2277 0.2277 0.7706 1
O3 0.5000 0.5000 0.1330 1
```

Most intense lines, 10 to 80 degrees two-theta, by angle:
2theta, I/Imax
16.04, 24
22.75, 12
27.96, 100
32.41, 44
36.34, 14
39.96, 15
46.48, 45
55.12, 40
74.91, 14
77.21, 12